No. 1
Diffraction record for In3Ag2Hg3. The powder diffraction line list is theoretical, not measured: it uses a structure optimized by DFT (PBE) and Cu Kα (weighted mean of Kα1 and Kα2).
No peak broadening, texture or thermal motion is included.

Crystal structure
Lattice parameters (Å, degrees): 4.472 4.609 9.327 97.63 95.23 92.96
Element x y z (fractional)
In 0.000 0.000 0.000
In 0.200 0.683 0.280
In 0.800 0.317 0.720
Ag 0.253 0.250 0.500
Ag 0.747 0.750 0.500
Hg 0.299 0.815 0.719
Hg 0.500 0.500 0.000
Hg 0.701 0.185 0.281

Peak list (10 most intense, 2θ = 10–90°, sorted by position)
2θ (°)	I (rel.)
29.0	37
32.1	65
33.1	98
33.9	100
37.9	74
39.2	51
39.4	59
40.8	47
55.9	24
60.1	26



No. 2
Diffraction record for CaCeHo2O6. The powder diffraction line list is theoretical, not measured: it uses a structure optimized by DFT (PBE) and Cu Kα (weighted mean of Kα1 and Kα2).
No peak broadening, texture or thermal motion is included.

Crystal structure
Lattice parameters (Å, degrees): 6.090 6.090 6.090 57.50 57.50 57.50
Element x y z (fractional)
Ca 0.000 0.000 0.000
Ce 0.505 0.505 0.505
Ho 0.219 0.219 0.219
Ho 0.720 0.720 0.720
O 0.110 0.418 0.819
O 0.339 0.905 0.590
O 0.418 0.819 0.110
O 0.590 0.339 0.905
O 0.819 0.110 0.418
O 0.905 0.590 0.339

Peak list (10 most intense, 2θ = 10–90°, sorted by position)
2θ (°)	I (rel.)
18.4	15
21.1	42
29.4	100
30.5	96
35.4	15
42.9	43
47.5	36
53.5	42
54.2	29
71.5	15



No. 3
Diffraction record for SnI. The powder diffraction line list is theoretical, not measured: it uses a structure optimized by DFT (PBE) and Cu Kα (weighted mean of Kα1 and Kα2).
No peak broadening, texture or thermal motion is included.

Crystal structure
Lattice parameters (Å, degrees): 7.641 8.654 9.773 90.00 90.00 90.00
Element x y z (fractional)
Sn 0.022 0.011 0.056
Sn 0.237 0.258 0.504
Sn 0.263 0.742 0.004
Sn 0.478 0.989 0.556
Sn 0.522 0.489 0.944
Sn 0.737 0.242 0.496
Sn 0.763 0.758 0.996
Sn 0.978 0.511 0.444
I 0.004 0.479 0.135
I 0.021 0.770 0.745
I 0.479 0.230 0.245
I 0.496 0.521 0.635
I 0.504 0.021 0.865
I 0.521 0.730 0.255
I 0.979 0.270 0.755
I 0.996 0.979 0.365

Peak list (10 most intense, 2θ = 10–90°, sorted by position)
2θ (°)	I (rel.)
13.7	31
23.3	29
25.3	100
27.1	27
29.8	46
31.2	26
31.6	25
36.4	59
41.8	24
42.2	23